Structure and computed XRD peak list of Rb2PaZn2O6 (a GGA-PBE-relaxed structure; Cu Kα (weighted mean of Kα1 and Kα2)).

a b c (Å): 6.1918 6.1918 18.3945
angles (deg): 90.00 90.00 120.00
Space group R-3m (No. 166, hexagonal axes)
Unique sites:
Rb  0.0000  0.0000  0.2109 x6
Pa  0.0000  0.0000  0.0000 x3
Zn  0.0000  0.0000  0.4078 x6
O  0.0146  0.5073  0.7395 x18

Peak list (10 most intense, 10° ≤ 2θ ≤ 80°, in order of rising 2θ)
two_theta	I/Imax
17.2	30
19.2	27
25.5	18
28.8	96
29.4	100
41.7	34
51.1	20
51.5	44
59.7	18
68.0	18

***

Structure and computed XRD peak list of PaTlRe2O8 (a GGA-PBE-relaxed structure; Cu Kα (weighted mean of Kα1 and Kα2)).

a b c (Å): 5.9911 5.9911 7.8923
angles (deg): 90.00 90.00 120.00
Space group P-3 (No. 147)
Unique sites:
Pa  0.0000  0.0000  0.0000 x1
Tl  0.0000  0.0000  0.5000 x1
Re  0.3333  0.6667  0.2652 x2
O  0.1655  0.3363  0.1706 x6
O  0.3333  0.6667  0.4882 x2

Peak list (10 most intense, 10° ≤ 2θ ≤ 80°, in order of rising 2θ)
two_theta	I/Imax
17.1	28
20.5	83
28.4	100
29.8	83
41.7	43
47.8	18
52.1	39
52.9	17
55.8	30
69.5	17

***

Structure and computed XRD peak list of PaRhO6 (a GGA-PBE-relaxed structure; Cu Kα (weighted mean of Kα1 and Kα2)).

a b c (Å): 10.774 5.011 7.338
angles (deg): 90.00 90.05 90.00
Space group C2/c (No. 15)
Unique sites:
Pa  0.000  0.000  0.250 x4
Rh  0.250  0.250  0.000 x4
O  0.116  0.040  0.500 x8
O  0.128  0.378  0.801 x8
O  0.128  0.379  0.198 x8

Peak list (10 most intense, 10° ≤ 2θ ≤ 80°, in order of rising 2θ)
two_theta	I/Imax
19.5	100
23.0	38
29.5	86
30.6	43
31.3	41
39.4	55
39.7	41
43.7	26
52.5	24
56.0	34

***

Structure and computed XRD peak list of Pa2RhO8 (a GGA-PBE-relaxed structure; Cu Kα (weighted mean of Kα1 and Kα2)).

a b c (Å): 16.228 3.407 6.247
angles (deg): 90.00 99.22 90.00
Space group C2 (No. 5)
Unique sites:
Pa  0.152  0.000  0.377 x4
Rh  0.000  0.581  0.000 x2
O  0.006  0.018  0.200 x4
O  0.106  0.502  0.514 x4
O  0.113  0.470  0.069 x4
O  0.243  0.499  0.337 x4

Peak list (10 most intense, 10° ≤ 2θ ≤ 80°, in order of rising 2θ)
two_theta	I/Imax
14.4	22
16.7	100
28.5	27
30.9	35
31.1	30
32.8	16
33.3	14
33.6	12
39.1	21
39.7	18